Theoretical PXRD pattern
Compound: Sb2N3Cl7O
Radiation: λ = 1.5418 Å (Cu Kα)
Structure: a structure optimized by DFT (PBE)
Intensities are scaled so that the largest is 100.

Main lines, by angle (15 to 90 degrees two-theta):
(1 2 0), d 5.687, 15.58 deg, intensity 100; (2 0 0), d 5.633, 15.73 deg, intensity 84; (2 1 1), d 4.662, 19.04 deg, intensity 28; (1 3 1), d 3.822, 23.27 deg, intensity 43; (0 1 3), d 3.443, 25.88 deg, intensity 33; (1 1 3), d 3.292, 27.08 deg, intensity 42; (2 3 2), d 2.907, 30.75 deg, intensity 26; (1 3 3), d 2.689, 33.33 deg, intensity 29; (4 2 0), d 2.589, 34.65 deg, intensity 22; (2 6 0), d 2.044, 44.33 deg, intensity 28

Structural model:
```
Sb2N3Cl7O
1.0
11.265 0.000 0.000
0.000 13.176 0.000
0.000 0.000 10.699
Sb N Cl O
8 12 28 4
Direct
0.214 0.077 0.160
0.214 0.077 0.840
0.286 0.577 0.340
0.286 0.577 0.660
0.714 0.423 0.340
0.714 0.423 0.660
0.786 0.923 0.160
0.786 0.923 0.840
0.000 0.500 0.000
0.000 0.500 0.500
0.105 0.905 0.500
0.212 0.772 0.000
0.288 0.272 0.500
0.395 0.405 0.000
0.500 0.000 0.000
0.500 0.000 0.500
0.605 0.595 0.000
0.712 0.728 0.500
0.788 0.228 0.000
0.895 0.095 0.500
0.000 0.000 0.198
0.000 0.000 0.802
0.112 0.209 0.000
0.139 0.702 0.303
0.139 0.702 0.697
0.170 0.201 0.500
0.185 0.451 0.221
0.185 0.451 0.779
0.315 0.951 0.279
0.315 0.951 0.721
0.330 0.701 0.000
0.361 0.202 0.197
0.361 0.202 0.803
0.388 0.709 0.500
0.500 0.500 0.302
0.500 0.500 0.698
0.612 0.291 0.500
0.639 0.798 0.197
0.639 0.798 0.803
0.670 0.299 0.000
0.685 0.049 0.279
0.685 0.049 0.721
0.815 0.549 0.221
0.815 0.549 0.779
0.830 0.799 0.500
0.861 0.298 0.303
0.861 0.298 0.697
0.888 0.791 0.000
0.238 0.514 0.500
0.262 0.014 0.000
0.738 0.986 0.000
0.762 0.486 0.500
```